Record 1
This entry pairs a crystal structure of TlBi2S5 with its computed X-ray diffraction stick pattern. Radiation: copper Kα. Structure: a DFT-relaxed cell (PBE, Alexandria).
Intensities are scaled so that the largest is 100.

a = 5.651 Å, b = 16.199 Å, c = 12.770 Å
α = 90.00°, β = 90.00°, γ = 90.00°
Space group Cmcm (No. 63)
Symmetry-distinct sites (fractional):
1 Tl 0.000 0.174 0.250 x4
2 Bi 0.000 0.176 0.572 x8
3 S 0.000 0.020 0.074 x8
4 S 0.000 0.261 0.750 x4
5 S 0.000 0.306 0.049 x8

Peak list (10 most intense, 10 to 90 degrees two-theta, most intense first)
| two_theta | intensity |
| --- | --- |
| 10.92 | 100 |
| 26.79 | 70 |
| 23.61 | 62 |
| 30.47 | 58 |
| 22.78 | 57 |
| 16.62 | 56 |
| 44.52 | 41 |
| 31.67 | 35 |
| 39.88 | 32 |
| 38.38 | 32 |

=====

Record 2
This entry pairs a crystal structure of TlBi5S8 with its computed X-ray diffraction stick pattern. Radiation: copper Kα. Structure: a DFT-relaxed cell (PBE, Alexandria).
Intensities are scaled so that the largest is 100.

a = 21.212 Å, b = 4.052 Å, c = 10.588 Å
α = 90.00°, β = 106.73°, γ = 90.00°
Space group Cm (No. 8)
Symmetry-distinct sites (fractional):
1 Tl 0.000 0.000 0.000 x2
2 Bi 0.022 0.500 0.388 x2
3 Bi 0.177 0.000 0.339 x2
4 Bi 0.234 0.000 0.717 x2
5 Bi 0.313 0.500 0.043 x2
6 Bi 0.363 0.500 0.413 x2
7 S 0.096 0.500 0.197 x2
8 S 0.106 0.000 0.523 x2
9 S 0.193 0.500 0.848 x2
10 S 0.255 0.500 0.519 x2
11 S 0.284 0.000 0.216 x2
12 S 0.357 0.000 0.907 x2
13 S 0.437 0.000 0.553 x2
14 S 0.443 0.500 0.233 x2

Peak list (10 most intense, 10 to 90 degrees two-theta, most intense first)
| two_theta | intensity |
| --- | --- |
| 34.16 | 100 |
| 25.83 | 97 |
| 26.35 | 89 |
| 17.14 | 84 |
| 25.22 | 78 |
| 25.62 | 75 |
| 35.87 | 74 |
| 10.40 | 73 |
| 17.48 | 64 |
| 44.55 | 59 |

=====

Record 3
This entry pairs a crystal structure of Tl2VBiS4 with its computed X-ray diffraction stick pattern. Radiation: copper Kα. Structure: a DFT-relaxed cell (PBE, Alexandria).
Intensities are scaled so that the largest is 100.

a = 8.154 Å, b = 9.482 Å, c = 6.193 Å
α = 90.00°, β = 90.00°, γ = 90.00°
Space group Pmn2_1 (No. 31)
Symmetry-distinct sites (fractional):
1 Tl 0.214 0.148 0.000 x4
2 V 0.000 0.668 0.934 x2
3 Bi 0.000 0.393 0.475 x2
4 S 0.000 0.436 0.039 x2
5 S 0.000 0.678 0.568 x2
6 S 0.236 0.788 0.010 x4

Peak list (10 most intense, 10 to 90 degrees two-theta, most intense first)
| two_theta | intensity |
| --- | --- |
| 23.63 | 100 |
| 23.76 | 73 |
| 28.84 | 66 |
| 27.84 | 56 |
| 37.69 | 39 |
| 35.95 | 34 |
| 46.72 | 33 |
| 20.30 | 29 |
| 38.88 | 21 |
| 36.09 | 21 |